No. 1
# AcThS4
Theoretical X-ray powder pattern, Cu Kα. Input: DFT lattice parameters and positions (PBE).
Intensities are scaled so that the largest is 100.

Principal peaks in the range 2θ = 10–90°, in order of falling intensity:
d (Å), Position (°2θ), I (rel.)
3.938, 22.58, 100
2.511, 35.76, 26
2.374, 37.89, 22
2.357, 38.18, 22
2.130, 42.44, 20
2.105, 42.97, 19
1.949, 46.61, 15
3.581, 24.86, 9
3.523, 25.28, 9
1.415, 66.05, 9

a = 6.343 Å, b = 7.045 Å, c = 7.162 Å
α = 90.00°, β = 90.00°, γ = 90.00°
Positions (direct):
Ac 0.000 0.000 0.000
Ac 0.500 0.500 0.000
Th 0.000 0.500 0.500
Th 0.500 0.000 0.500
S 0.250 0.250 0.266
S 0.250 0.250 0.734
S 0.250 0.750 0.266
S 0.250 0.750 0.734
S 0.750 0.250 0.266
S 0.750 0.250 0.734
S 0.750 0.750 0.266
S 0.750 0.750 0.734

=====

No. 2
# VAu6
Theoretical X-ray powder pattern, Cu Kα. Input: DFT lattice parameters and positions (PBE).
Intensities are scaled so that the largest is 100.

Principal peaks in the range 2θ = 10–90°, in order of falling intensity:
d (Å), Position (°2θ), I (rel.)
5.259, 16.86, 100
3.036, 29.42, 93
2.147, 42.09, 78
1.988, 45.64, 56
1.859, 48.99, 44
3.718, 23.93, 39
1.121, 86.88, 32
1.315, 71.80, 29
2.352, 38.27, 28
1.458, 63.82, 20

a = 7.437 Å, b = 7.437 Å, c = 7.437 Å
α = 90.00°, β = 90.00°, γ = 90.00°
Positions (direct):
V 0.000 0.000 0.000
V 0.500 0.500 0.500
Au 0.000 0.250 0.500
Au 0.000 0.500 0.250
Au 0.000 0.500 0.750
Au 0.000 0.750 0.500
Au 0.250 0.000 0.500
Au 0.250 0.500 0.000
Au 0.500 0.000 0.250
Au 0.500 0.000 0.750
Au 0.500 0.250 0.000
Au 0.500 0.750 0.000
Au 0.750 0.000 0.500
Au 0.750 0.500 0.000

=====

No. 3
# MgCu3Pd3
Theoretical X-ray powder pattern, Cu Kα. Input: DFT lattice parameters and positions (PBE).
Intensities are scaled so that the largest is 100.

Principal peaks in the range 2θ = 10–90°, in order of falling intensity:
d (Å), Position (°2θ), I (rel.)
2.095, 43.18, 100
2.165, 41.71, 22
1.210, 79.17, 16
6.025, 14.70, 12
1.236, 77.16, 12
1.506, 61.57, 12
4.331, 20.51, 11
2.624, 34.17, 10
2.660, 33.69, 7
1.458, 63.85, 6

a = 6.028 Å, b = 6.028 Å, c = 5.831 Å
α = 90.00°, β = 90.00°, γ = 91.85°
Positions (direct):
Mg 0.217 0.217 0.000
Mg 0.783 0.783 0.000
Cu 0.215 0.215 0.500
Cu 0.220 0.780 0.500
Cu 0.253 0.747 0.000
Cu 0.747 0.253 0.000
Cu 0.780 0.220 0.500
Cu 0.785 0.785 0.500
Pd 0.000 0.500 0.255
Pd 0.000 0.500 0.745
Pd 0.500 0.000 0.255
Pd 0.500 0.000 0.745
Pd 0.500 0.500 0.262
Pd 0.500 0.500 0.738

=====

No. 4
# Dy2Er3Mg2
Theoretical X-ray powder pattern, Cu Kα. Input: DFT lattice parameters and positions (PBE).
Intensities are scaled so that the largest is 100.

Principal peaks in the range 2θ = 10–90°, in order of falling intensity:
d (Å), Position (°2θ), I (rel.)
2.829, 31.63, 100
2.571, 34.90, 78
2.627, 34.13, 54
2.945, 30.35, 34
1.519, 61.02, 31
3.479, 25.60, 27
1.605, 57.43, 26
3.600, 24.73, 26
2.224, 40.56, 23
3.074, 29.05, 22

a = 3.699 Å, b = 30.738 Å, c = 3.600 Å
α = 90.00°, β = 90.00°, γ = 90.00°
Positions (direct):
Dy 0.000 0.203 0.000
Dy 0.000 0.797 0.000
Dy 0.500 0.297 0.000
Dy 0.500 0.703 0.000
Er 0.000 0.077 0.000
Er 0.000 0.500 0.500
Er 0.000 0.923 0.000
Er 0.500 0.000 0.500
Er 0.500 0.423 0.000
Er 0.500 0.577 0.000
Mg 0.000 0.360 0.500
Mg 0.000 0.640 0.500
Mg 0.500 0.140 0.500
Mg 0.500 0.860 0.500

=====

No. 5
# Li12Zn6Pd
Theoretical X-ray powder pattern, Cu Kα. Input: DFT lattice parameters and positions (PBE).
Intensities are scaled so that the largest is 100.

Principal peaks in the range 2θ = 10–90°, in order of falling intensity:
d (Å), Position (°2θ), I (rel.)
6.806, 13.01, 100
4.857, 18.26, 67
2.251, 40.06, 56
4.003, 22.21, 49
2.141, 42.22, 41
2.164, 41.74, 18
3.066, 29.12, 18
3.022, 29.56, 16
1.256, 75.73, 14
2.269, 39.73, 14

a = 6.809 Å, b = 6.809 Å, c = 6.809 Å
α = 88.94°, β = 88.94°, γ = 88.94°
Positions (direct):
Li 0.024 0.931 0.306
Li 0.069 0.694 0.976
Li 0.127 0.466 0.350
Li 0.306 0.024 0.931
Li 0.350 0.127 0.466
Li 0.466 0.350 0.127
Li 0.534 0.650 0.873
Li 0.650 0.873 0.534
Li 0.694 0.976 0.069
Li 0.873 0.534 0.650
Li 0.931 0.306 0.024
Li 0.976 0.069 0.694
Zn 0.234 0.761 0.610
Zn 0.239 0.390 0.766
Zn 0.390 0.766 0.239
Zn 0.610 0.234 0.761
Zn 0.761 0.610 0.234
Zn 0.766 0.239 0.390
Pd 0.500 0.500 0.500

=====

No. 6
# PrZnIn2Au2
Theoretical X-ray powder pattern, Cu Kα. Input: DFT lattice parameters and positions (PBE).
Intensities are scaled so that the largest is 100.

Principal peaks in the range 2θ = 10–90°, in order of falling intensity:
d (Å), Position (°2θ), I (rel.)
2.720, 32.92, 100
5.587, 15.86, 61
1.949, 46.60, 60
3.847, 23.12, 47
2.793, 32.04, 43
1.924, 47.25, 36
2.446, 36.74, 32
1.584, 58.23, 31
3.073, 29.05, 28
1.115, 87.44, 20

a = 5.441 Å, b = 5.441 Å, c = 11.174 Å
α = 90.00°, β = 90.00°, γ = 90.00°
Positions (direct):
Pr 0.000 0.000 0.000
Pr 0.500 0.500 0.500
Zn 0.000 0.000 0.500
Zn 0.500 0.500 0.000
In 0.000 0.500 0.250
In 0.000 0.500 0.750
In 0.500 0.000 0.250
In 0.500 0.000 0.750
Au 0.000 0.000 0.278
Au 0.000 0.000 0.722
Au 0.500 0.500 0.222
Au 0.500 0.500 0.778

=====

No. 7
# Y2Ga3Au5
Theoretical X-ray powder pattern, Cu Kα. Input: DFT lattice parameters and positions (PBE).
Intensities are scaled so that the largest is 100.

Principal peaks in the range 2θ = 10–90°, in order of falling intensity:
d (Å), Position (°2θ), I (rel.)
2.666, 33.62, 100
2.621, 34.21, 85
2.104, 43.00, 83
2.080, 43.51, 41
2.059, 43.99, 34
5.760, 15.38, 31
2.021, 44.85, 31
3.952, 22.50, 31
1.418, 65.86, 25
2.836, 31.54, 22

a = 8.768 Å, b = 8.768 Å, c = 8.768 Å
α = 97.87°, β = 95.65°, γ = 139.88°
Positions (direct):
Y 0.133 0.225 0.358
Y 0.367 0.725 0.092
Y 0.633 0.275 0.908
Y 0.867 0.775 0.642
Ga 0.133 0.874 0.007
Ga 0.250 0.750 0.500
Ga 0.367 0.374 0.740
Ga 0.633 0.626 0.260
Ga 0.750 0.250 0.500
Ga 0.867 0.126 0.993
Au 0.014 0.750 0.264
Au 0.101 0.660 0.761
Au 0.250 0.250 0.000
Au 0.399 0.160 0.559
Au 0.486 0.750 0.736
Au 0.514 0.250 0.264
Au 0.601 0.840 0.441
Au 0.750 0.750 0.000
Au 0.899 0.340 0.239
Au 0.986 0.250 0.736